1.
Theoretical XRD peak list of CaPr6Cd5 for copper Kα, from the GGA-PBE geometry in Alexandria.

```
data_CaPr6Cd5
_space_group_name_H-M_alt 'P 1'
_space_group_IT_number 1
_cell_length_a 9.6427
_cell_length_b 9.6427
_cell_length_c 9.6427
_cell_angle_alpha 146.58
_cell_angle_beta 132.18
_cell_angle_gamma 59.59
loop_
_space_group_symop_operation_xyz
'x,y,z'
loop_
_atom_site_label
_atom_site_fract_x
_atom_site_fract_y
_atom_site_fract_z
Ca1 0.0000 0.0000 0.0000
Pr1 0.0856 0.8273 0.2583
Pr2 0.2700 0.5000 0.7700
Pr3 0.4310 0.1727 0.2583
Pr4 0.5690 0.8273 0.7417
Pr5 0.7300 0.5000 0.2300
Pr6 0.9144 0.1727 0.7417
Cd1 0.1539 0.6539 0.5000
Cd2 0.3321 0.3321 0.0000
Cd3 0.5000 0.0000 0.5000
Cd4 0.6679 0.6679 0.0000
Cd5 0.8461 0.3461 0.5000
```

The 12 most intense peaks (2θ = 5–70°), low angle first:
2theta  d [Å]  I_rel
12.50  7.082  2
22.61  3.933  3
32.09  2.789  20
32.29  2.772  100
39.71  2.270  2
46.16  1.966  14
46.47  1.954  7
57.33  1.607  13
57.59  1.601  22
57.72  1.597  7
67.11  1.395  2
67.58  1.386  11

2.
Theoretical XRD peak list of EuZnCdBi for copper Kα, from the GGA-PBE geometry in Alexandria.

```
data_EuZnCdBi
_space_group_name_H-M_alt 'P 1'
_space_group_IT_number 1
_cell_length_a 5.3789
_cell_length_b 5.3789
_cell_length_c 5.3789
_cell_angle_alpha 60.00
_cell_angle_beta 60.00
_cell_angle_gamma 60.00
loop_
_space_group_symop_operation_xyz
'x,y,z'
loop_
_atom_site_label
_atom_site_fract_x
_atom_site_fract_y
_atom_site_fract_z
Eu1 0.0000 0.0000 0.0000
Zn1 0.2500 0.2500 0.2500
Cd1 0.5000 0.5000 0.5000
Bi1 0.7500 0.7500 0.7500
```

The 8 most intense peaks (2θ = 5–70°), low angle first:
2theta  d [Å]  I_rel
20.22  4.392  14
33.31  2.689  100
39.28  2.294  9
47.83  1.902  18
52.43  1.745  4
59.54  1.553  37
63.55  1.464  3
69.96  1.345  12

3.
Theoretical XRD peak list of Li2TlHgF8 for copper Kα, from the GGA-PBE geometry in Alexandria.

```
data_Li2TlHgF8
_space_group_name_H-M_alt 'P 1'
_space_group_IT_number 1
_cell_length_a 6.0260
_cell_length_b 6.0260
_cell_length_c 6.0260
_cell_angle_alpha 110.72
_cell_angle_beta 110.72
_cell_angle_gamma 107.01
loop_
_space_group_symop_operation_xyz
'x,y,z'
loop_
_atom_site_label
_atom_site_fract_x
_atom_site_fract_y
_atom_site_fract_z
Li1 0.0000 0.0000 0.0000
Li2 0.7500 0.2500 0.5000
Tl1 0.5000 0.5000 0.0000
Hg1 0.2500 0.7500 0.5000
F1 0.1306 0.4392 0.6914
F2 0.2016 0.0145 0.8129
F3 0.2016 0.3887 0.1871
F4 0.5608 0.2521 0.6914
F5 0.5608 0.8694 0.3086
F6 0.6113 0.7984 0.8129
F7 0.7479 0.4392 0.3086
F8 0.9855 0.7984 0.1871
```

The 12 most intense peaks (2θ = 5–70°), low angle first:
2theta  d [Å]  I_rel
17.91  4.953  100
26.01  3.425  49
31.04  2.881  44
31.76  2.817  31
39.96  2.256  22
41.50  2.176  21
48.30  1.884  11
49.14  1.854  37
49.64  1.837  18
58.09  1.588  10
63.15  1.472  11
69.90  1.346  9

Number 2 is which compound? EuZnCdBi